Diffraction record for ErBePd2. The X-ray powder pattern is computed, not measured: it uses a crystal structure in Alexandria, relaxed with PBE and Cu Kα.
Peak positions follow from Bragg's law for the DFT cell and can differ from measured ones.

```
16
Lattice="4.0878 0.0000 0.0000 0.0000 17.1475 0.0000 0.0000 0.0000 3.8778" Properties=species:S:1:pos:R:3 pbc="T T T"
Er 0.0000 2.4801 0.0000
Er 0.0000 14.6674 0.0000
Er 2.0439 6.0937 0.0000
Er 2.0439 11.0538 0.0000
Be 0.0000 7.3656 1.9389
Be 0.0000 9.7818 1.9389
Be 2.0439 1.2081 1.9389
Be 2.0439 15.9393 1.9389
Pd 0.0000 0.0000 1.9389
Pd 0.0000 5.1527 1.9389
Pd 0.0000 8.5737 0.0000
Pd 0.0000 11.9948 1.9389
Pd 2.0439 0.0000 0.0000
Pd 2.0439 3.4211 1.9389
Pd 2.0439 8.5737 1.9389
Pd 2.0439 13.7264 1.9389
```

Main lines, sorted by position (2θ = 5–70°):
2θ = 31.10°, I = 19, (0 4 1)
2θ = 31.30°, I = 18, (0 6 0)
2θ = 34.13°, I = 8, (1 5 0)
2θ = 35.57°, I = 100, (1 3 1)
2θ = 43.05°, I = 16, (1 7 0)
2θ = 44.32°, I = 17, (2 0 0)
2θ = 46.86°, I = 14, (0 0 2)
2θ = 55.13°, I = 7, (2 4 1)
2θ = 55.25°, I = 7, (2 6 0)
2θ = 58.89°, I = 7, (0 10 1)
2θ = 65.51°, I = 9, (1 7 2)
2θ = 66.47°, I = 10, (2 0 2)